[1]
For Er2Tm3Pd2, a cell relaxed with GGA-PBE gives the simulated powder X-ray diffraction pattern in this record (Cu Ka).
Intensities are scaled so that the largest is 100.

Peak list (10 most intense, 2θ = 10–90°, sorted by position)
- (4 0 -1), d 3.032, 2θ = 29.5°, I 32
- (2 0 -3), d 2.994, 2θ = 29.8°, I 25
- (1 1 -2), d 2.834, 2θ = 31.6°, I 53
- (3 1 -1), d 2.725, 2θ = 32.9°, I 72
- (2 0 2), d 2.702, 2θ = 33.2°, I 46
- (4 0 -3), d 2.579, 2θ = 34.8°, I 100
- (1 1 2), d 2.456, 2θ = 36.6°, I 33
- (1 1 -3), d 2.283, 2θ = 39.5°, I 28
- (0 2 0), d 1.831, 2θ = 49.8°, I 23
- (3 1 -5), d 1.614, 2θ = 57.1°, I 20

Cell and atoms:
Cell lengths 12.2275, 3.6613, 8.9902 Å; angles 90.00, 116.83, 90.00 degrees
Element x y z (fractional)
1 Er 0.1577 0.0000 0.3132
2 Er 0.3423 0.5000 0.6868
3 Er 0.6577 0.5000 0.3132
4 Er 0.8423 0.0000 0.6868
5 Tm 0.0000 0.5000 0.5000
6 Tm 0.1128 0.5000 0.9394
7 Tm 0.3872 0.0000 0.0606
8 Tm 0.5000 0.0000 0.5000
9 Tm 0.6128 0.0000 0.9394
10 Tm 0.8872 0.5000 0.0606
11 Pd 0.1716 0.0000 0.7364
12 Pd 0.3284 0.5000 0.2636
13 Pd 0.6716 0.5000 0.7364
14 Pd 0.8284 0.0000 0.2636

[2]
For Cd2SbW, a cell relaxed with GGA-PBE gives the simulated powder X-ray diffraction pattern in this record (Cu Ka).
Intensities are scaled so that the largest is 100.

Peak list (10 most intense, 2θ = 10–90°, sorted by position)
- (0 0 4), d 2.616, 2θ = 34.3°, I 21
- (1 1 2), d 2.518, 2θ = 35.7°, I 100
- (1 1 3), d 2.217, 2θ = 40.7°, I 11
- (0 2 0), d 2.208, 2θ = 40.9°, I 19
- (2 0 0), d 1.891, 2θ = 48.1°, I 12
- (0 2 4), d 1.687, 2θ = 54.4°, I 11
- (1 1 6), d 1.491, 2θ = 62.3°, I 9
- (2 2 0), d 1.436, 2θ = 64.9°, I 9
- (1 3 2), d 1.327, 2θ = 71.0°, I 13
- (3 1 2), d 1.181, 2θ = 81.5°, I 9

Cell and atoms:
Cell lengths 3.7814, 4.4161, 10.4627 Å; angles 90.00, 90.00, 90.00 degrees
Element x y z (fractional)
1 Cd 0.0000 0.0000 0.2143
2 Cd 0.0000 0.0000 0.7857
3 Cd 0.5000 0.5000 0.2143
4 Cd 0.5000 0.5000 0.7857
5 Sb 0.0000 0.5000 0.5000
6 Sb 0.5000 0.0000 0.5000
7 W 0.0000 0.5000 0.0000
8 W 0.5000 0.0000 0.0000